1.
BaZrF6: simulated PXRD pattern (a wavelength of 1.5418 Å), based on the PBE geometry in the Materials Project.
No peak broadening, texture or thermal motion is included.

Structural model:
a b c (Å): 6.6830 9.7208 9.3363
angles (deg): 90.00 127.35 90.00
Space group P2_1/c (No. 14)
Unique sites:
Ba: 0.0909 0.1804 0.3641 [4 per cell]
Zr: 0.3810 0.5356 0.6344 [4 per cell]
F: 0.0528 0.0318 0.8849 [4 per cell]
F: 0.1805 0.7166 0.5312 [4 per cell]
F: 0.2298 0.0390 0.6776 [4 per cell]
F: 0.3346 0.1520 0.2106 [4 per cell]
F: 0.4289 0.6041 0.8590 [4 per cell]
F: 0.4831 0.6230 0.4710 [4 per cell]

Main lines, most intense first (10 to 90 degrees two-theta):
| 2theta | I/Imax |
| --- | --- |
| 22.70 | 1000 |
| 24.83 | 644 |
| 26.93 | 607 |
| 25.70 | 576 |
| 27.48 | 560 |
| 41.96 | 552 |
| 39.00 | 477 |
| 38.18 | 446 |
| 39.97 | 432 |
| 26.57 | 412 |

2.
LaP3H6O12: simulated PXRD pattern (a wavelength of 1.5418 Å), based on the PBE geometry in the Materials Project.
No peak broadening, texture or thermal motion is included.

Structural model:
a b c (Å): 6.9416 6.9416 6.1751
angles (deg): 90.00 90.00 120.00
Space group P-6 (No. 174)
Unique sites:
La: 0.0000 0.0000 0.0000 [1 per cell]
P: 0.3912 0.1194 0.5000 [3 per cell]
H: 0.0475 0.5688 0.1254 [6 per cell]
O: 0.0490 0.6547 0.0000 [3 per cell]
O: 0.2755 0.0249 0.2895 [6 per cell]
O: 0.4858 0.3851 0.5000 [3 per cell]

Main lines, most intense first (10 to 90 degrees two-theta):
| 2theta | I/Imax |
| --- | --- |
| 20.62 | 1000 |
| 14.74 | 871 |
| 29.52 | 545 |
| 33.15 | 367 |
| 49.83 | 292 |
| 39.67 | 229 |
| 41.95 | 201 |
| 42.39 | 186 |
| 28.92 | 172 |
| 29.72 | 161 |

3.
MgH20Br4N4O4: simulated PXRD pattern (a wavelength of 1.5418 Å), based on the PBE geometry in the Materials Project.
No peak broadening, texture or thermal motion is included.

Structural model:
a b c (Å): 7.5407 7.5858 8.7770
angles (deg): 65.21 86.82 82.95
Space group P1 (No. 1)
Unique sites:
Mg: 0.0000 0.0000 0.0000 [1 per cell]
H: 0.0407 0.3411 0.5100 [1 per cell]
H: 0.0573 0.5414 0.3324 [1 per cell]
H: 0.0599 0.7030 0.6507 [1 per cell]
H: 0.1479 0.5340 0.5216 [1 per cell]
H: 0.2422 0.3822 0.4168 [1 per cell]
H: 0.2435 0.5523 0.7315 [1 per cell]
H: 0.2578 0.7507 0.5558 [1 per cell]
H: 0.2798 0.2994 0.0365 [1 per cell]
H: 0.4063 0.2161 0.9321 [1 per cell]
H: 0.5186 0.1569 0.3959 [1 per cell]
H: 0.5267 0.6962 0.0618 [1 per cell]
H: 0.5558 0.4309 0.9819 [1 per cell]
H: 0.5659 0.2602 0.5078 [1 per cell]
H: 0.5919 0.4844 0.2226 [1 per cell]
H: 0.7053 0.6037 0.8762 [1 per cell]
H: 0.7164 0.7952 0.6035 [1 per cell]
H: 0.7756 0.3904 0.0413 [1 per cell]
H: 0.7805 0.9005 0.7091 [1 per cell]
H: 0.7966 0.6943 0.1343 [1 per cell]
H: 0.8074 0.8093 0.2455 [1 per cell]
Br: 0.0201 0.1842 0.1801 [1 per cell]
Br: 0.2947 0.9311 0.8847 [1 per cell]
Br: 0.5599 0.8662 0.3758 [1 per cell]
Br: 0.7952 0.1911 0.7509 [1 per cell]
N: 0.1220 0.4471 0.4418 [1 per cell]
N: 0.1787 0.6419 0.6213 [1 per cell]
N: 0.6335 0.5897 0.1094 [1 per cell]
N: 0.6668 0.4970 0.9946 [1 per cell]
O: 0.3772 0.3344 0.9523 [1 per cell]
O: 0.5007 0.2840 0.4062 [1 per cell]
O: 0.7862 0.7718 0.7053 [1 per cell]
O: 0.8854 0.7686 0.1665 [1 per cell]

Main lines, most intense first (10 to 90 degrees two-theta):
| 2theta | I/Imax |
| --- | --- |
| 26.33 | 1000 |
| 25.30 | 536 |
| 22.86 | 458 |
| 12.93 | 445 |
| 24.27 | 408 |
| 27.68 | 370 |
| 20.60 | 348 |
| 27.81 | 312 |
| 27.44 | 298 |
| 16.58 | 258 |

4.
Mg6ZrV: simulated PXRD pattern (a wavelength of 1.5418 Å), based on the PBE geometry in the Materials Project.
No peak broadening, texture or thermal motion is included.

Structural model:
a b c (Å): 4.9521 6.2767 11.0323
angles (deg): 90.00 90.00 90.00
Space group Amm2 (No. 38)
Unique sites:
Mg: 0.0000 0.0000 0.0000 [2 per cell]
Mg: 0.0000 0.2416 0.2440 [4 per cell]
Mg: 0.5000 0.0000 0.8324 [2 per cell]
Mg: 0.5000 0.2459 0.5839 [4 per cell]
Zr: 0.0000 0.0000 0.4834 [2 per cell]
V: 0.5000 0.0000 0.3460 [2 per cell]

Main lines, most intense first (10 to 90 degrees two-theta):
| 2theta | I/Imax |
| --- | --- |
| 37.65 | 1000 |
| 37.32 | 682 |
| 16.25 | 577 |
| 36.28 | 421 |
| 32.83 | 391 |
| 49.73 | 232 |
| 16.07 | 190 |
| 70.50 | 187 |
| 58.14 | 182 |
| 33.54 | 181 |